Record 1
Calculated powder diffractogram of Sr2UInO6 for Cu Kα (λ = 1.5418 Å), from a GGA-PBE-relaxed structure.
Lines closer than 0.1° are merged.

Most intense lines, 15 to 90 degrees two-theta, low angle first:
d/Å	intensity
4.939	11
4.278	20
3.025	100
2.580	7
2.139	30
1.913	9
1.746	42
1.512	19
1.426	4
1.353	18
1.235	6
1.143	22

Cell and atoms:
Cell: 6.0495 6.0495 6.0495 Å, 60.00 60.00 60.00°
Element x y z (fractional)
Sr 0.2500 0.2500 0.2500
Sr 0.7500 0.7500 0.7500
U 0.0000 0.0000 0.0000
In 0.5000 0.5000 0.5000
O 0.2488 0.2488 0.7512
O 0.2488 0.7512 0.2488
O 0.2488 0.7512 0.7512
O 0.7512 0.2488 0.2488
O 0.7512 0.2488 0.7512
O 0.7512 0.7512 0.2488

Record 2
Calculated powder diffractogram of SrBr2O6 for Cu Kα (λ = 1.5418 Å), from a GGA-PBE-relaxed structure.
Lines closer than 0.1° are merged.

Most intense lines, 15 to 90 degrees two-theta, low angle first:
d/Å	intensity
3.404	39
3.345	100
2.768	30
2.386	35
2.099	18
1.953	14
1.816	9
1.689	16
1.672	12
1.582	13
1.516	12
1.357	10

Cell and atoms:
Cell: 5.6962 5.6962 4.4596 Å, 94.60 94.60 73.39°
Element x y z (fractional)
Sr 0.0000 0.0000 0.0000
Br 0.3346 0.3668 0.6885
Br 0.6332 0.6654 0.3115
O 0.1392 0.2040 0.5124
O 0.1399 0.5119 0.9493
O 0.3219 0.6781 0.5000
O 0.4881 0.8601 0.0507
O 0.6339 0.3661 0.0000
O 0.7960 0.8608 0.4876

Record 3
Calculated powder diffractogram of CdSi7N10 for Cu Kα (λ = 1.5418 Å), from a GGA-PBE-relaxed structure.
Lines closer than 0.1° are merged.

Most intense lines, 15 to 90 degrees two-theta, low angle first:
d/Å	intensity
5.534	34
4.590	50
3.874	33
3.695	36
3.428	100
3.070	48
3.038	28
2.969	36
2.818	52
2.424	45
2.283	23
2.278	41

Cell and atoms:
Cell: 6.8130 6.8475 9.7145 Å, 90.00 104.74 90.00°
Element x y z (fractional)
Cd 0.0000 0.0288 0.0000
Cd 0.0000 0.9712 0.5000
Si 0.1106 0.3997 0.8684
Si 0.1106 0.6003 0.3684
Si 0.3013 0.3830 0.1778
Si 0.3013 0.6170 0.6778
Si 0.3603 0.0231 0.8173
Si 0.3603 0.9769 0.3173
Si 0.4864 0.3698 0.4817
Si 0.4864 0.6302 0.9817
Si 0.5494 0.0195 0.1223
Si 0.5494 0.9805 0.6223
Si 0.6657 0.3663 0.7872
Si 0.6657 0.6337 0.2872
Si 0.8505 0.3839 0.1007
Si 0.8505 0.6161 0.6007
N 0.0795 0.4309 0.2276
N 0.0795 0.5691 0.7276
N 0.1578 0.1586 0.8328
N 0.1578 0.8414 0.3328
N 0.2901 0.4944 0.0172
N 0.2901 0.5056 0.5172
N 0.3288 0.1314 0.1646
N 0.3288 0.8686 0.6646
N 0.4516 0.1197 0.4689
N 0.4516 0.8803 0.9689
N 0.4979 0.4611 0.3175
N 0.4979 0.5389 0.8175
N 0.5642 0.1365 0.7679
N 0.5642 0.8635 0.2679
N 0.7002 0.4191 0.6190
N 0.7002 0.5809 0.1190
N 0.7543 0.1534 0.1090
N 0.7543 0.8466 0.6090
N 0.8853 0.3947 0.9242
N 0.8853 0.6053 0.4242

Record 4
Calculated powder diffractogram of Zn2CuAs2O8 for Cu Kα (λ = 1.5418 Å), from a GGA-PBE-relaxed structure.
Lines closer than 0.1° are merged.

Most intense lines, 15 to 90 degrees two-theta, low angle first:
d/Å	intensity
4.264	16
3.225	100
3.205	15
2.833	45
2.669	22
2.555	22
2.546	17
2.449	8
2.302	9
2.003	11
1.987	11
1.535	16

Cell and atoms:
Cell: 5.1578 5.4175 6.8570 Å, 69.89 87.30 67.69°
Element x y z (fractional)
Zn 0.2271 0.2560 0.1890
Zn 0.7729 0.7440 0.8110
Cu 0.5000 0.5000 0.5000
As 0.1363 0.1480 0.7236
As 0.8637 0.8520 0.2764
O 0.0876 0.3535 0.8775
O 0.1820 0.8698 0.3345
O 0.2669 0.2971 0.4925
O 0.3720 0.8111 0.8486
O 0.6280 0.1889 0.1514
O 0.7331 0.7029 0.5075
O 0.8180 0.1302 0.6655
O 0.9124 0.6465 0.1225

Record 5
Calculated powder diffractogram of Te7As5I for Cu Kα (λ = 1.5418 Å), from a GGA-PBE-relaxed structure.
Lines closer than 0.1° are merged.

Most intense lines, 15 to 90 degrees two-theta, low angle first:
d/Å	intensity
3.424	15
3.396	14
3.146	51
3.102	100
3.053	11
2.428	13
2.394	30
2.310	11
2.061	32
2.016	18
1.737	10
1.698	21

Cell and atoms:
Cell: 7.7251 7.7251 14.5723 Å, 109.26 109.26 30.26°
Element x y z (fractional)
Te 0.0000 0.0000 0.0000
Te 0.0317 0.0317 0.7271
Te 0.3109 0.3109 0.7785
Te 0.4146 0.4146 0.1937
Te 0.6107 0.6107 0.5129
Te 0.6862 0.6862 0.2323
Te 0.7212 0.7212 0.9581
As 0.1489 0.1489 0.4059
As 0.1948 0.1948 0.0832
As 0.5232 0.5232 0.8687
As 0.8397 0.8397 0.6647
As 0.8768 0.8768 0.3016
I 0.3428 0.3428 0.4810